For KV2FeAg2O8, a GGA+U-relaxed structure gives the theoretical PXRD pattern in this record (a wavelength of 1.5418 Å).
Intensities are scaled so that the largest is 100.

Structural model:
a = 5.5339 Å, b = 5.5339 Å, c = 7.4905 Å
α = 90.00°, β = 90.00°, γ = 120.00°
Space group P-3 (No. 147)
Asymmetric unit:
K (0.0000, 0.0000, 0.0000)
V (0.3333, 0.6667, 0.2675)
Fe (0.0000, 0.0000, 0.5000)
Ag (0.3333, 0.6667, 0.7289)
O (0.0772, 0.3287, 0.3407)
O (0.3333, 0.6667, 0.0425)

Peak list (8 most intense, 10° ≤ 2θ ≤ 90°, by intensity)
2θ/deg, d [Å], intensity, h k l
32.36, 2.767, 100, 1 1 0
30.29, 2.951, 79, 0 1 2
44.91, 2.018, 33, 2 0 2
59.62, 1.551, 32, 2 -1 4
56.43, 1.631, 26, 1 2 2
57.71, 1.598, 23, 3 0 0
23.76, 3.745, 22, 0 0 2
22.02, 4.037, 20, 0 1 1